Diffraction record for Nd2Fe3Ge4. The XRD peak list is calculated, not measured: it uses a crystal structure in Alexandria, relaxed with PBE and CuKα.

Principal peaks in the range 15° ≤ 2θ ≤ 90°, in order of rising 2θ:
2theta	I (rel.)
28.7	36
33.1	39
33.5	30
38.4	12
39.1	100
43.6	17
44.7	30
62.0	17
63.7	23
67.7	15

Cell lengths 7.897, 6.779, 5.542 Å; angles 79.02, 57.43, 43.55 degrees
Fractional positions:
Nd 0.139 0.139 0.861
Nd 0.861 0.861 0.139
Fe 0.000 0.000 0.500
Fe 0.500 0.500 0.000
Fe 0.500 0.500 0.500
Ge 0.172 0.521 0.479
Ge 0.479 0.828 0.172
Ge 0.521 0.172 0.828
Ge 0.828 0.479 0.521